Record 1
Simulated powder diffractogram
Compound: Tl2InFe
Radiation: CuKα
Structure: DFT lattice parameters and positions (GGA-PBE)

Atomic structure:
Unit cell a=9.909 b=9.909 c=9.909 alpha=19.55 beta=19.55 gamma=19.55
Element x y z (fractional)
Tl  0.000  0.000  0.000
Tl  0.234  0.234  0.234
In  0.473  0.473  0.473
Fe  0.739  0.739  0.739

The 12 most intense peaks (2θ = 10–90°), low angle first:
2theta	d [Å]	Rel. int.
27.54	3.239	24
30.84	2.899	14
33.11	2.705	100
34.41	2.606	24
37.01	2.429	14
39.61	2.276	50
51.42	1.777	18
54.55	1.682	26
62.18	1.493	15
62.89	1.478	11
65.32	1.429	14
67.76	1.383	14

=====

Record 2
Simulated powder diffractogram
Compound: Mo2SBr2
Radiation: CuKα
Structure: DFT lattice parameters and positions (GGA-PBE)

Atomic structure:
Unit cell a=9.932 b=9.932 c=12.058 alpha=90.00 beta=90.00 gamma=39.45
Element x y z (fractional)
Mo  0.244  0.756  0.562
Mo  0.244  0.756  0.938
Mo  0.344  0.513  0.102
Mo  0.344  0.513  0.398
Mo  0.487  0.656  0.102
Mo  0.487  0.656  0.398
Mo  0.513  0.344  0.602
Mo  0.513  0.344  0.898
Mo  0.656  0.487  0.602
Mo  0.656  0.487  0.898
Mo  0.756  0.244  0.062
Mo  0.756  0.244  0.438
S  0.119  0.881  0.128
S  0.119  0.881  0.372
S  0.412  0.588  0.750
S  0.588  0.412  0.250
S  0.881  0.119  0.628
S  0.881  0.119  0.872
Br  0.106  0.612  0.564
Br  0.106  0.612  0.936
Br  0.131  0.528  0.250
Br  0.388  0.894  0.564
Br  0.388  0.894  0.936
Br  0.472  0.869  0.250
Br  0.528  0.131  0.750
Br  0.612  0.106  0.064
Br  0.612  0.106  0.436
Br  0.869  0.472  0.750
Br  0.894  0.388  0.064
Br  0.894  0.388  0.436

The 12 most intense peaks (2θ = 10–90°), low angle first:
2theta	d [Å]	Rel. int.
14.03	6.311	100
14.69	6.029	40
17.50	5.067	32
26.29	3.390	27
26.59	3.352	24
29.61	3.016	47
36.19	2.482	27
39.48	2.283	38
42.83	2.112	62
45.71	1.985	22
46.76	1.943	68
47.45	1.916	34

=====

Record 3
Simulated powder diffractogram
Compound: LaYZn2Ga2
Radiation: CuKα
Structure: DFT lattice parameters and positions (GGA-PBE)

Atomic structure:
Unit cell a=4.460 b=4.460 c=7.639 alpha=90.00 beta=90.00 gamma=120.00
Element x y z (fractional)
La  0.000  0.000  0.000
Y  0.000  0.000  0.500
Zn  0.333  0.667  0.282
Zn  0.667  0.333  0.718
Ga  0.333  0.667  0.729
Ga  0.667  0.333  0.271

The 12 most intense peaks (2θ = 10–90°), low angle first:
2theta	d [Å]	Rel. int.
23.03	3.862	7
25.85	3.447	7
32.98	2.716	100
40.45	2.230	57
47.62	1.910	9
53.15	1.723	25
54.72	1.678	6
64.21	1.450	21
68.86	1.364	23
73.57	1.287	9
79.22	1.209	5
87.50	1.115	6

=====

Record 4
Simulated powder diffractogram
Compound: Na2H10SO5
Radiation: CuKα
Structure: DFT lattice parameters and positions (GGA-PBE)

Atomic structure:
Unit cell a=7.105 b=7.105 c=8.686 alpha=90.00 beta=90.00 gamma=125.82
Element x y z (fractional)
Na  0.000  0.000  0.000
Na  0.000  0.000  0.500
Na  0.454  0.546  0.750
Na  0.546  0.454  0.250
H  0.002  0.371  0.620
H  0.002  0.371  0.880
H  0.016  0.738  0.750
H  0.178  0.478  0.023
H  0.178  0.478  0.477
H  0.262  0.984  0.750
H  0.371  0.002  0.120
H  0.371  0.002  0.380
H  0.478  0.178  0.523
H  0.478  0.178  0.977
H  0.522  0.822  0.023
H  0.522  0.822  0.477
H  0.629  0.998  0.620
H  0.629  0.998  0.880
H  0.738  0.016  0.250
H  0.822  0.522  0.523
H  0.822  0.522  0.977
H  0.984  0.262  0.250
H  0.998  0.629  0.120
H  0.998  0.629  0.380
S  0.311  0.689  0.250
S  0.689  0.311  0.750
O  0.093  0.907  0.750
O  0.136  0.383  0.572
O  0.136  0.383  0.928
O  0.383  0.136  0.072
O  0.383  0.136  0.428
O  0.617  0.864  0.572
O  0.617  0.864  0.928
O  0.864  0.617  0.072
O  0.864  0.617  0.428
O  0.907  0.093  0.250

The 12 most intense peaks (2θ = 10–90°), low angle first:
2theta	d [Å]	Rel. int.
25.21	3.533	31
25.69	3.468	68
27.25	3.273	100
32.75	2.735	76
34.06	2.633	86
34.57	2.595	82
39.86	2.262	51
40.27	2.239	25
43.70	2.071	53
45.20	2.006	34
50.63	1.803	36
62.48	1.487	28

=====

Record 5
Simulated powder diffractogram
Compound: MgCrAs4
Radiation: CuKα
Structure: DFT lattice parameters and positions (GGA-PBE)

Atomic structure:
Unit cell a=5.570 b=5.570 c=5.570 alpha=60.00 beta=60.00 gamma=60.00
Element x y z (fractional)
Mg  0.000  0.000  0.000
Cr  0.250  0.250  0.250
As  0.126  0.625  0.625
As  0.625  0.126  0.625
As  0.625  0.625  0.126
As  0.625  0.625  0.625

The 12 most intense peaks (2θ = 10–90°), low angle first:
2theta	d [Å]	Rel. int.
19.52	4.548	41
32.14	2.785	11
37.88	2.375	100
39.63	2.274	63
46.09	1.969	17
50.50	1.807	10
61.13	1.516	31
67.23	1.393	30
70.75	1.332	8
79.84	1.201	11
80.95	1.188	23
88.67	1.103	4

=====

Record 6
Simulated powder diffractogram
Compound: LaTb5Y8
Radiation: CuKα
Structure: DFT lattice parameters and positions (GGA-PBE)

Atomic structure:
Unit cell a=8.487 b=8.487 c=8.487 alpha=111.71 beta=111.71 gamma=105.09
Element x y z (fractional)
La  0.000  0.000  0.000
Tb  0.034  0.435  0.823
Tb  0.250  0.750  0.500
Tb  0.565  0.389  0.599
Tb  0.611  0.211  0.177
Tb  0.789  0.966  0.401
Y  0.087  0.329  0.410
Y  0.281  0.174  0.748
Y  0.323  0.913  0.243
Y  0.426  0.533  0.252
Y  0.467  0.719  0.893
Y  0.671  0.080  0.757
Y  0.826  0.574  0.107
Y  0.920  0.677  0.590

The 12 most intense peaks (2θ = 10–90°), low angle first:
2theta	d [Å]	Rel. int.
22.57	3.939	30
27.56	3.236	50
29.42	3.036	68
29.65	3.013	73
31.72	2.821	20
33.47	2.677	100
34.47	2.602	35
35.05	2.560	45
42.43	2.131	21
52.05	1.757	16
55.09	1.667	21
62.13	1.494	22